For LaNi13, a cell relaxed with PBE gives the simulated powder diffraction line list in this record (Cu Kα (λ = 1.5418 Å)).

Top 10 peaks for 2θ = 10–90°, low angle first:
2θ 35.6, d 2.519, I 42
2θ 39.2, d 2.300, I 80
2θ 47.8, d 1.904, I 100
2θ 48.5, d 1.878, I 16
2θ 51.3, d 1.781, I 19
2θ 59.1, d 1.562, I 13
2θ 61.6, d 1.505, I 17
2θ 68.7, d 1.366, I 13
2θ 84.2, d 1.150, I 13
2θ 88.5, d 1.105, I 14

Cell and atoms:
```
28
Lattice="0.000 5.633 5.633 5.633 0.000 5.633 5.633 5.633 0.000" Properties=species:S:1:pos:R:3 pbc="T T T"
La 2.816 2.816 2.816
La 8.449 8.449 8.449
Ni 0.000 0.000 0.000
Ni 5.633 4.328 2.025
Ni 9.240 5.633 4.328
Ni 6.938 2.025 5.633
Ni 6.938 5.633 3.607
Ni 5.633 3.607 4.328
Ni 7.658 4.328 5.633
Ni 5.633 6.938 2.025
Ni 4.328 2.025 5.633
Ni 9.240 5.633 6.938
Ni 4.328 5.633 3.607
Ni 7.658 6.938 5.633
Ni 5.633 3.607 6.938
Ni 5.633 5.633 5.633
Ni 5.633 7.658 4.328
Ni 3.607 4.328 5.633
Ni 6.938 5.633 7.658
Ni 2.025 5.633 4.328
Ni 6.938 9.240 5.633
Ni 5.633 4.328 9.240
Ni 3.607 6.938 5.633
Ni 5.633 7.658 6.938
Ni 4.328 5.633 7.658
Ni 4.328 9.240 5.633
Ni 2.025 5.633 6.938
Ni 5.633 6.938 9.240
```